Record 1
This entry pairs a crystal structure of Li3Mg4 with its theoretical X-ray powder pattern. Radiation: Cu Kα. Structure: a cell relaxed with PBE.

Main lines, by angle (5 to 70 degrees two-theta):
hkl	Position (°2θ)	I/Imax
0 0 2	7.11	19
0 0 4	14.24	27
1 0 3	28.27	41
1 0 7	36.50	100
1 1 0	37.26	49
1 1 10	52.85	10
2 0 0	53.71	16
2 1 3	61.80	8
1 1 14	65.19	15
2 1 7	66.69	32

```
data_Li3Mg4
_cell_length_a 3.413
_cell_length_b 3.413
_cell_length_c 24.883
_cell_angle_alpha 90.00
_cell_angle_beta 90.00
_cell_angle_gamma 90.00
_symmetry_space_group_name_H-M 'I 4/m m m'
_symmetry_Int_Tables_number 139
_symmetry_space_group_name_Hall '-I 4 2'
loop_
_atom_site_label
_atom_site_type_symbol
_atom_site_fract_x
_atom_site_fract_y
_atom_site_fract_z
_atom_site_occupancy
Li1 Li 0.000 0.000 0.000 1
Li2 Li 0.000 0.000 0.282 1
Mg1 Mg 0.000 0.000 0.148 1
Mg2 Mg 0.000 0.000 0.432 1
```

---

Record 2
This entry pairs a crystal structure of Cs3RbAu4 with its theoretical X-ray powder pattern. Radiation: Cu Kα. Structure: a cell relaxed with PBE.

Main lines, by angle (5 to 70 degrees two-theta):
hkl	Position (°2θ)	I/Imax
1 0 0	20.58	7
0 2 0	29.27	100
1 2 0	36.05	2
2 0 0	41.87	19
2 1 2	47.08	3
2 2 0	51.85	21
2 0 4	51.94	20
2 2 4	60.72	10
0 4 4	68.75	9
3 1 2	68.83	9

```
data_Cs3RbAu4
_cell_length_a 4.314
_cell_length_b 6.114
_cell_length_c 12.191
_cell_angle_alpha 90.00
_cell_angle_beta 90.00
_cell_angle_gamma 90.00
_symmetry_space_group_name_H-M 'P m m m'
_symmetry_Int_Tables_number 47
_symmetry_space_group_name_Hall '-P 2 2'
loop_
_atom_site_label
_atom_site_type_symbol
_atom_site_fract_x
_atom_site_fract_y
_atom_site_fract_z
_atom_site_occupancy
Cs1 Cs 0.000 0.000 0.000 1
Cs2 Cs 0.000 0.500 0.252 1
Rb1 Rb 0.000 0.000 0.500 1
Au1 Au 0.500 0.000 0.258 1
Au2 Au 0.500 0.500 0.000 1
Au3 Au 0.500 0.500 0.500 1
```